(1)
Theoretical powder diffractogram
Compound: Tb3Nd3Tl5
Radiation: Cu Ka
Structure: a structure optimized by DFT (GGA-PBE)
Lines closer than 0.1° are merged.

Main lines, low angle first (2θ from 10° to 80°):
2θ/deg	I/Imax
14.36	100
24.31	39
28.95	66
30.01	99
34.14	42
42.18	79

Structural model:
Cell: 9.098 9.098 6.168 Å, 90.00 90.00 120.00°
Positions (direct):
Tb (0.000, 0.240, 0.000)
Tb (0.240, 0.000, 0.000)
Tb (0.760, 0.760, 0.000)
Nd (0.000, 0.249, 0.500)
Nd (0.249, 0.000, 0.500)
Nd (0.751, 0.751, 0.500)
Tl (0.000, 0.619, 0.000)
Tl (0.333, 0.667, 0.000)
Tl (0.381, 0.381, 0.000)
Tl (0.619, 0.000, 0.000)
Tl (0.667, 0.333, 0.000)

(2)
Theoretical powder diffractogram
Compound: Cd2HgIr
Radiation: Cu Ka
Structure: a structure optimized by DFT (GGA-PBE)
Lines closer than 0.1° are merged.

Main lines, low angle first (2θ from 10° to 80°):
2θ/deg	I/Imax
36.09	100
37.24	90
41.77	33
41.92	32
44.08	29
76.55	22

Structural model:
Cell: 3.128 4.109 5.968 Å, 90.00 90.20 90.00°
Positions (direct):
Cd (0.001, 0.000, 0.270)
Cd (0.999, 0.000, 0.730)
Hg (0.500, 0.500, 0.000)
Ir (0.500, 0.500, 0.500)

(3)
Theoretical powder diffractogram
Compound: Nd5TmMg5
Radiation: Cu Ka
Structure: a structure optimized by DFT (GGA-PBE)
Lines closer than 0.1° are merged.

Main lines, low angle first (2θ from 10° to 80°):
2θ/deg	I/Imax
21.80	94
26.30	42
30.35	50
34.42	100
40.58	27
56.57	24

Structural model:
Cell: 9.581 9.581 6.777 Å, 110.63 110.63 35.81°
Positions (direct):
Nd (0.000, 0.000, 0.000)
Nd (0.315, 0.315, 0.314)
Nd (0.367, 0.367, 0.866)
Nd (0.633, 0.633, 0.134)
Nd (0.685, 0.685, 0.686)
Tm (0.000, 0.000, 0.500)
Mg (0.167, 0.167, 0.435)
Mg (0.167, 0.167, 0.899)
Mg (0.500, 0.500, 0.500)
Mg (0.833, 0.833, 0.101)
Mg (0.833, 0.833, 0.565)

(4)
Theoretical powder diffractogram
Compound: AcCe2Au2
Radiation: Cu Ka
Structure: a structure optimized by DFT (GGA-PBE)
Lines closer than 0.1° are merged.

Main lines, low angle first (2θ from 10° to 80°):
2θ/deg	I/Imax
23.02	18
30.00	100
36.49	19
37.60	73
48.83	26
63.22	24

Structural model:
Cell: 7.658 7.658 7.658 Å, 36.40 36.40 36.40°
Positions (direct):
Ac (0.000, 0.000, 0.000)
Ce (0.193, 0.193, 0.193)
Ce (0.807, 0.807, 0.807)
Au (0.424, 0.424, 0.424)
Au (0.576, 0.576, 0.576)

(5)
Theoretical powder diffractogram
Compound: Cs2ZnGaI6
Radiation: Cu Ka
Structure: a structure optimized by DFT (GGA-PBE)
Lines closer than 0.1° are merged.

Main lines, low angle first (2θ from 10° to 80°):
2θ/deg	I/Imax
26.31	100
30.38	31
30.52	61
43.60	45
51.74	30
54.16	23

Structural model:
Cell: 8.303 8.303 8.303 Å, 120.16 120.16 89.73°
Positions (direct):
Cs (0.250, 0.750, 0.500)
Cs (0.750, 0.250, 0.500)
Zn (0.000, 0.000, 0.000)
Ga (0.500, 0.500, 0.000)
I (0.247, 0.247, 0.494)
I (0.247, 0.753, 0.000)
I (0.248, 0.248, 0.000)
I (0.752, 0.752, 0.000)
I (0.753, 0.247, 0.000)
I (0.753, 0.753, 0.506)

(6)
Theoretical powder diffractogram
Compound: KPuCO5
Radiation: Cu Ka
Structure: a structure optimized by DFT (GGA-PBE)
Lines closer than 0.1° are merged.

Main lines, low angle first (2θ from 10° to 80°):
2θ/deg	I/Imax
16.64	51
21.68	100
26.12	44
35.00	41
41.55	33
49.33	23

Structural model:
Cell: 5.127 5.127 10.656 Å, 90.00 90.00 120.00°
Positions (direct):
K (0.000, 0.000, 0.000)
K (0.000, 0.000, 0.500)
Pu (0.333, 0.667, 0.250)
Pu (0.667, 0.333, 0.750)
C (0.333, 0.667, 0.750)
C (0.667, 0.333, 0.250)
O (0.187, 0.375, 0.750)
O (0.187, 0.813, 0.750)
O (0.333, 0.667, 0.078)
O (0.333, 0.667, 0.422)
O (0.375, 0.187, 0.250)
O (0.625, 0.813, 0.750)
O (0.667, 0.333, 0.578)
O (0.667, 0.333, 0.922)
O (0.813, 0.187, 0.250)
O (0.813, 0.625, 0.250)

(7)
Theoretical powder diffractogram
Compound: Nd6Sm5Th2
Radiation: Cu Ka
Structure: a structure optimized by DFT (GGA-PBE)
Lines closer than 0.1° are merged.

Main lines, low angle first (2θ from 10° to 80°):
2θ/deg	I/Imax
28.58	25
30.44	49
30.76	100
31.54	77
33.51	54
35.97	22

Structural model:
Cell: 11.730 21.234 3.645 Å, 90.00 90.00 90.00°
Positions (direct):
Nd (0.067, 0.146, 0.000)
Nd (0.083, 0.438, 0.000)
Nd (0.183, 0.875, 0.500)
Nd (0.317, 0.375, 0.500)
Nd (0.417, 0.938, 0.000)
Nd (0.433, 0.646, 0.000)
Nd (0.567, 0.354, 0.000)
Nd (0.583, 0.062, 0.000)
Nd (0.683, 0.625, 0.500)
Nd (0.817, 0.125, 0.500)
Nd (0.917, 0.562, 0.000)
Nd (0.933, 0.854, 0.000)
Sm (0.000, 0.000, 0.500)
Sm (0.064, 0.293, 0.500)
Sm (0.187, 0.582, 0.500)
Sm (0.313, 0.082, 0.500)
Sm (0.436, 0.793, 0.500)
Sm (0.500, 0.500, 0.500)
Sm (0.564, 0.207, 0.500)
Sm (0.687, 0.918, 0.500)
Sm (0.813, 0.418, 0.500)
Sm (0.936, 0.707, 0.500)
Th (0.191, 0.734, 0.000)
Th (0.309, 0.234, 0.000)
Th (0.691, 0.766, 0.000)
Th (0.809, 0.266, 0.000)

(8)
Theoretical powder diffractogram
Compound: Dy2Th2SiIr4
Radiation: Cu Ka
Structure: a structure optimized by DFT (GGA-PBE)
Lines closer than 0.1° are merged.

Main lines, low angle first (2θ from 10° to 80°):
2θ/deg	I/Imax
33.76	100
38.32	13
39.61	41
56.29	16
57.26	14
68.15	26

Structural model:
Cell: 6.541 6.541 6.541 Å, 121.06 121.06 88.18°
Positions (direct):
Dy (0.250, 0.750, 0.500)
Dy (0.750, 0.250, 0.500)
Th (0.192, 0.192, 0.000)
Th (0.808, 0.808, 0.000)
Si (0.500, 0.500, 0.000)
Ir (0.242, 0.242, 0.484)
Ir (0.242, 0.758, 0.000)
Ir (0.758, 0.242, 0.000)
Ir (0.758, 0.758, 0.516)

(9)
Theoretical powder diffractogram
Compound: Pm6Zn2Cd
Radiation: Cu Ka
Structure: a structure optimized by DFT (GGA-PBE)
Lines closer than 0.1° are merged.

Main lines, low angle first (2θ from 10° to 80°):
2θ/deg	I/Imax
30.45	100
32.59	38
33.30	70
35.16	34
55.77	18
56.30	17

Structural model:
Cell: 8.810 8.810 8.810 Å, 111.20 109.19 108.04°
Positions (direct):
Pm (0.037, 0.819, 0.218)
Pm (0.246, 0.540, 0.295)
Pm (0.246, 0.951, 0.705)
Pm (0.269, 0.318, 0.587)
Pm (0.269, 0.682, 0.951)
Pm (0.398, 0.181, 0.218)
Pm (0.602, 0.819, 0.782)
Pm (0.731, 0.318, 0.049)
Pm (0.731, 0.682, 0.413)
Pm (0.754, 0.049, 0.295)
Pm (0.754, 0.460, 0.705)
Pm (0.963, 0.181, 0.782)
Zn (0.000, 0.134, 0.134)
Zn (0.000, 0.866, 0.866)
Zn (0.377, 0.377, 0.000)
Zn (0.623, 0.623, 0.000)
Cd (0.000, 0.500, 0.500)
Cd (0.500, 0.000, 0.500)

(10)
Theoretical powder diffractogram
Compound: HgBrCl
Radiation: Cu Ka
Structure: a structure optimized by DFT (GGA-PBE)
Lines closer than 0.1° are merged.

Main lines, low angle first (2θ from 10° to 80°):
2θ/deg	I/Imax
17.65	100
27.37	45
27.81	42
31.22	42
41.99	37
42.98	27

Structural model:
Cell: 4.169 6.518 7.885 Å, 89.98 89.93 89.93°
Positions (direct):
Hg (0.000, 0.000, 0.000)
Hg (0.500, 0.500, 0.323)
Br (0.108, 0.500, 0.557)
Br (0.609, 0.000, 0.766)
Cl (0.333, 0.000, 0.243)
Cl (0.833, 0.500, 0.079)

(11)
Theoretical powder diffractogram
Compound: SmTmAl2Au4
Radiation: Cu Ka
Structure: a structure optimized by DFT (GGA-PBE)
Lines closer than 0.1° are merged.

Main lines, low angle first (2θ from 10° to 80°):
2θ/deg	I/Imax
23.20	37
35.24	100
38.93	97
40.95	35
53.51	31
68.12	30

Structural model:
Cell: 9.193 9.193 9.193 Å, 29.15 29.15 29.15°
Positions (direct):
Sm (0.000, 0.000, 0.000)
Tm (0.500, 0.500, 0.500)
Al (0.246, 0.246, 0.246)
Al (0.754, 0.754, 0.754)
Au (0.118, 0.118, 0.118)
Au (0.390, 0.390, 0.390)
Au (0.610, 0.610, 0.610)
Au (0.882, 0.882, 0.882)

(12)
Theoretical powder diffractogram
Compound: NdDy2H
Radiation: Cu Ka
Structure: a structure optimized by DFT (GGA-PBE)
Lines closer than 0.1° are merged.

Main lines, low angle first (2θ from 10° to 80°):
2θ/deg	I/Imax
28.05	48
29.61	100
36.89	40
38.92	71
52.22	32
60.32	34

Structural model:
Cell: 9.754 9.754 9.754 Å, 20.69 20.69 20.69°
Positions (direct):
Nd (0.000, 0.000, 0.000)
Dy (0.120, 0.120, 0.120)
Dy (0.880, 0.880, 0.880)
H (0.500, 0.500, 0.500)